Structure and theoretical powder diffraction line list of KVRhSe3 (DFT lattice parameters and positions (GGA-PBE); copper Kα).
Kinematic intensities with the Lorentz-polarization factor, no thermal factor.

Most intense lines, 15 to 90 degrees two-theta, in order of rising 2θ:
(0 0 3), 2θ 30.54, I = 64.6
(2 1 -1), 2θ 31.78, I = 100.0
(2 1 0), 2θ 33.23, I = 65.0
(1 0 3), 2θ 36.99, I = 36.1
(1 0 -4), 2θ 37.65, I = 32.6
(3 1 -1), 2θ 39.85, I = 48.3
(2 1 -4), 2θ 45.12, I = 53.1
(0 2 0), 2θ 49.00, I = 35.6
(2 1 3), 2θ 52.36, I = 23.7
(3 1 2), 2θ 53.78, I = 32.0

Atomic structure:
Cell lengths 8.6268, 3.7179, 9.6668 Å; angles 90.00, 114.78, 90.00 degrees
Space group P2_1/m (No. 11)
Inequivalent atoms, fractional coordinates:
K: 0.2355 0.2500 0.2550 [2 per cell]
V: 0.0763 0.2500 0.5941 [2 per cell]
Rh: 0.3240 0.7500 0.8411 [2 per cell]
Se: 0.1254 0.2500 0.8582 [2 per cell]
Se: 0.2426 0.7500 0.5483 [2 per cell]
Se: 0.4688 0.7500 0.1273 [2 per cell]